# 1
Diffraction record for CaCrP4O12. The powder diffractogram is theoretical, not measured: it uses a DFT-relaxed cell (PBE+U, the Materials Project) and Cu Kα (weighted mean of Kα1 and Kα2).
Kinematic intensities with the Lorentz-polarization factor, no thermal factor.

Top 10 peaks for 5° ≤ 2θ ≤ 70°, sorted by position:
two_theta  d_spacing  I (rel.)  h k l
13.6  6.531  34.2  1 1 -1
18.3  4.852  35.0  2 0 -2
19.6  4.536  34.8  1 1 -2
24.1  3.698  20.2  3 1 -1
25.1  3.548  22.0  3 1 -2
26.7  3.336  23.9  3 1 0
27.8  3.207  100.0  0 2 2
29.5  3.032  17.9  3 1 -3
33.2  2.701  18.5  4 0 0
40.2  2.241  17.5  1 3 -3

Structural model:
Cell lengths 12.273, 8.844, 10.582 Å; angles 90.00, 118.32, 90.00 degrees
Space group C2/c (No. 15)
Symmetry-distinct sites (fractional):
1 Ca 0.000 0.040 0.250
2 Cr 0.250 0.250 0.500
3 P 0.005 0.274 0.977
4 P 0.189 0.491 0.192
5 O 0.032 0.139 0.914
6 O 0.059 0.250 0.431
7 O 0.073 0.395 0.650
8 O 0.133 0.361 0.069
9 O 0.214 0.073 0.332
10 O 0.225 0.427 0.335

---

# 2
Diffraction record for CaCr4P4O16. The powder diffractogram is theoretical, not measured: it uses a DFT-relaxed cell (PBE+U, the Materials Project) and Cu Kα (weighted mean of Kα1 and Kα2).
Kinematic intensities with the Lorentz-polarization factor, no thermal factor.

Top 10 peaks for 5° ≤ 2θ ≤ 70°, sorted by position:
two_theta  d_spacing  I (rel.)  h k l
9.7  9.086  45.2  0 0 1
14.3  6.188  100.0  0 1 0
21.6  4.119  28.7  0 1 2
24.0  3.715  36.4  1 0 2
31.2  2.867  35.0  0 2 2
31.4  2.845  20.7  1 -1 2
32.5  2.754  25.6  2 0 0
32.8  2.727  29.4  2 1 1
34.8  2.575  19.1  1 2 -1
35.4  2.536  31.3  1 0 -3

Structural model:
Cell lengths 5.650, 6.461, 9.423 Å; angles 76.00, 81.24, 79.03 degrees
Space group P1 (No. 1)
Symmetry-distinct sites (fractional):
1 Ca 0.000 0.000 0.000
2 Cr 0.079 0.485 0.033
3 Cr 0.249 0.601 0.407
4 Cr 0.633 0.274 0.251
5 Cr 0.807 0.376 0.614
6 P 0.135 0.148 0.360
7 P 0.245 0.289 0.727
8 P 0.639 0.584 0.916
9 P 0.749 0.722 0.286
10 O 0.000 0.649 0.196
11 O 0.055 0.133 0.736
12 O 0.115 0.497 0.626
13 O 0.125 0.201 0.187
14 O 0.215 0.909 0.412
15 O 0.234 0.304 0.891
16 O 0.317 0.280 0.391
17 O 0.373 0.656 0.978
18 O 0.506 0.224 0.665
19 O 0.556 0.603 0.251
20 O 0.648 0.540 0.764
21 O 0.696 0.966 0.220
22 O 0.761 0.368 0.025
23 O 0.768 0.662 0.452
24 O 0.824 0.733 0.923
25 O 0.882 0.233 0.436

---

# 3
Diffraction record for CaCr4P4O16. The powder diffractogram is theoretical, not measured: it uses a DFT-relaxed cell (PBE+U, the Materials Project) and Cu Kα (weighted mean of Kα1 and Kα2).
Kinematic intensities with the Lorentz-polarization factor, no thermal factor.

Top 10 peaks for 5° ≤ 2θ ≤ 70°, sorted by position:
two_theta  d_spacing  I (rel.)  h k l
9.7  9.126  50.1  0 0 1
14.4  6.141  100.0  0 1 0
20.0  4.430  24.9  1 0 -1
21.7  4.093  37.4  0 1 2
24.6  3.616  24.0  1 1 -1
29.4  3.042  27.9  0 0 3
31.2  2.867  36.7  1 0 3
31.6  2.835  35.6  0 2 2
32.4  2.766  32.6  2 0 0
35.4  2.538  38.4  2 0 -1

Structural model:
Cell lengths 5.703, 6.388, 9.517 Å; angles 76.30, 78.62, 79.37 degrees
Space group P1 (No. 1)
Symmetry-distinct sites (fractional):
1 Ca 0.000 0.000 0.000
2 Cr 0.131 0.237 0.272
3 Cr 0.279 0.322 0.641
4 Cr 0.585 0.472 0.055
5 Cr 0.660 0.573 0.416
6 P 0.094 0.547 0.938
7 P 0.225 0.691 0.314
8 P 0.590 0.109 0.374
9 P 0.710 0.251 0.745
10 O 0.030 0.554 0.304
11 O 0.093 0.321 0.050
12 O 0.139 0.927 0.247
13 O 0.144 0.501 0.783
14 O 0.279 0.677 0.966
15 O 0.281 0.634 0.474
16 O 0.331 0.183 0.456
17 O 0.487 0.621 0.233
18 O 0.518 0.104 0.745
19 O 0.582 0.158 0.207
20 O 0.622 0.462 0.633
21 O 0.679 0.868 0.430
22 O 0.688 0.285 0.903
23 O 0.757 0.254 0.406
24 O 0.847 0.693 0.965
25 O 0.981 0.161 0.702

---

# 4
Diffraction record for CaCr3P4O14. The powder diffractogram is theoretical, not measured: it uses a DFT-relaxed cell (PBE+U, the Materials Project) and Cu Kα (weighted mean of Kα1 and Kα2).
Kinematic intensities with the Lorentz-polarization factor, no thermal factor.

Top 10 peaks for 5° ≤ 2θ ≤ 70°, sorted by position:
two_theta  d_spacing  I (rel.)  h k l
25.6  3.483  38.9  1 2 0
28.5  3.136  78.2  2 1 -2
29.0  3.077  100.0  1 2 1
29.2  3.063  70.3  1 1 2
29.7  3.008  52.6  1 2 -2
31.9  2.804  33.0  0 1 3
32.2  2.784  56.0  2 1 1
33.8  2.653  56.9  2 1 -3
35.1  2.555  54.2  0 3 1
47.3  1.920  33.2  2 1 3

Structural model:
Cell lengths 7.550, 7.995, 9.562 Å; angles 90.00, 110.03, 90.00 degrees
Space group P2_1/c (No. 14)
Symmetry-distinct sites (fractional):
1 Ca 0.000 0.000 0.000
2 Cr 0.310 0.130 0.477
3 Cr 0.500 0.000 0.000
4 P 0.095 0.057 0.703
5 P 0.383 0.705 0.193
6 O 0.107 0.513 0.812
7 O 0.123 0.183 0.592
8 O 0.182 0.620 0.174
9 O 0.203 0.105 0.867
10 O 0.330 0.627 0.613
11 O 0.485 0.590 0.119
12 O 0.486 0.712 0.364

---

# 5
Diffraction record for CaCr2P2O10. The powder diffractogram is theoretical, not measured: it uses a DFT-relaxed cell (PBE+U, the Materials Project) and Cu Kα (weighted mean of Kα1 and Kα2).
Kinematic intensities with the Lorentz-polarization factor, no thermal factor.

Top 10 peaks for 5° ≤ 2θ ≤ 70°, sorted by position:
two_theta  d_spacing  I (rel.)  h k l
22.1  4.027  28.0  1 1 3
26.6  3.351  73.7  1 3 1
29.0  3.080  47.8  2 2 0
31.1  2.877  97.6  2 2 2
31.6  2.835  100.0  1 1 5
36.9  2.438  30.5  2 2 4
45.0  2.013  22.6  2 2 6
53.0  1.727  30.1  3 3 5
55.7  1.651  25.5  4 0 4
62.5  1.486  16.9  3 5 5

Structural model:
Cell lengths 7.254, 11.666, 15.965 Å; angles 90.00, 90.00, 90.00 degrees
Space group Fddd (No. 70, origin choice 2)
Symmetry-distinct sites (fractional):
1 Ca 0.125 0.125 0.125
2 Cr 0.000 0.000 0.500
3 P 0.125 0.125 0.333
4 O 0.043 0.364 0.525
5 O 0.108 0.018 0.860
6 O 0.125 0.125 0.539

---

# 6
Diffraction record for SrCaCrP2O8. The powder diffractogram is theoretical, not measured: it uses a DFT-relaxed cell (PBE+U, the Materials Project) and Cu Kα (weighted mean of Kα1 and Kα2).
Kinematic intensities with the Lorentz-polarization factor, no thermal factor.

Top 10 peaks for 5° ≤ 2θ ≤ 70°, sorted by position:
two_theta  d_spacing  I (rel.)  h k l
21.5  4.133  26.4  -1 1 1
28.0  3.181  100.0  0 2 -2
29.4  3.039  52.3  1 1 1
30.5  2.934  20.7  1 1 -3
30.6  2.923  40.3  2 0 -1
30.8  2.901  45.1  1 0 -3
31.6  2.829  31.7  2 -1 0
32.6  2.745  47.4  -1 2 1
45.8  1.982  16.5  1 3 -1
50.2  1.818  17.9  1 2 -5

Structural model:
Cell lengths 5.918, 6.932, 9.460 Å; angles 108.95, 102.37, 98.57 degrees
Space group P-1 (No. 2)
Symmetry-distinct sites (fractional):
1 Sr 0.223 0.190 0.438
2 Ca 0.499 0.581 0.836
3 Cr 0.155 0.844 0.048
4 P 0.112 0.584 0.273
5 P 0.339 0.029 0.793
6 O 0.092 0.414 0.110
7 O 0.113 0.453 0.672
8 O 0.147 0.938 0.860
9 O 0.153 0.800 0.255
10 O 0.226 0.994 0.623
11 O 0.340 0.563 0.381
12 O 0.453 0.091 0.194
13 O 0.454 0.265 0.897

---

# 7
Diffraction record for CaTiCrP3O12. The powder diffractogram is theoretical, not measured: it uses a DFT-relaxed cell (PBE+U, the Materials Project) and Cu Kα (weighted mean of Kα1 and Kα2).
Kinematic intensities with the Lorentz-polarization factor, no thermal factor.

Top 10 peaks for 5° ≤ 2θ ≤ 70°, sorted by position:
two_theta  d_spacing  I (rel.)  h k l
20.1  4.423  12.5  1 0 4
20.6  4.318  53.5  1 1 0
23.9  3.718  100.0  1 1 3
28.9  3.090  14.9  0 2 4
31.9  2.803  15.4  2 1 1
32.1  2.791  61.4  1 1 6
36.0  2.493  23.5  3 0 0
46.1  1.968  18.2  1 2 8
49.0  1.859  22.0  2 2 6
56.4  1.632  16.7  4 1 0

Structural model:
Cell lengths 8.6353, 8.6353, 21.9413 Å; angles 90.00, 90.00, 120.00 degrees
Space group R3c (No. 161, hexagonal axes)
Symmetry-distinct sites (fractional):
1 Ca 0.0000 0.0000 0.0000
2 Ti 0.0000 0.0000 0.1491
3 Cr 0.0000 0.0000 0.3559
4 P 0.9998 0.2893 0.2524
5 O 0.0134 0.1928 0.1941
6 O 0.0213 0.1883 0.9166
7 O 0.1467 0.4662 0.9766
8 O 0.1716 0.4781 0.2520

---

# 8
Diffraction record for CaPrCrO4. The powder diffractogram is theoretical, not measured: it uses a DFT-relaxed cell (PBE+U, the Materials Project) and Cu Kα (weighted mean of Kα1 and Kα2).
Kinematic intensities with the Lorentz-polarization factor, no thermal factor.

Top 10 peaks for 5° ≤ 2θ ≤ 70°, sorted by position:
two_theta  d_spacing  I (rel.)  h k l
17.9  4.963  23.7  1 1 0
21.7  4.100  28.9  0 2 1
32.0  2.799  100.0  0 0 2
32.9  2.725  28.6  2 0 0
39.7  2.269  13.5  2 2 1
44.2  2.048  24.1  0 4 2
44.9  2.018  10.4  2 4 0
46.5  1.955  30.8  2 0 2
56.9  1.618  14.8  1 3 3
58.1  1.587  13.2  3 3 1

Structural model:
Cell lengths 5.450, 12.010, 5.611 Å; angles 90.00, 90.00, 90.00 degrees
Space group Cmc2_1 (No. 36)
Symmetry-distinct sites (fractional):
1 Ca 0.000 0.104 0.000
2 Pr 0.000 0.388 0.965
3 Cr 0.000 0.249 0.480
4 O 0.000 0.082 0.424
5 O 0.000 0.421 0.535
6 O 0.247 0.231 0.733

---

# 9
Diffraction record for Sr4CaCr2S2O6. The powder diffractogram is theoretical, not measured: it uses a DFT-relaxed cell (PBE+U, the Materials Project) and Cu Kα (weighted mean of Kα1 and Kα2).
Kinematic intensities with the Lorentz-polarization factor, no thermal factor.

Top 10 peaks for 5° ≤ 2θ ≤ 70°, sorted by position:
two_theta  d_spacing  I (rel.)  h k l
5.3  16.552  88.4  0 0 1
10.7  8.276  21.8  0 0 2
23.0  3.861  13.9  1 0 1
31.2  2.865  100.0  1 0 4
31.9  2.807  56.8  1 1 0
35.3  2.542  13.7  1 0 5
39.8  2.265  27.9  0 1 6
45.7  1.985  43.0  2 0 0
56.4  1.632  36.0  1 2 4
62.2  1.493  13.7  2 1 6

Structural model:
Cell lengths 3.969, 3.971, 16.552 Å; angles 90.00, 90.00, 90.00 degrees
Space group Pmm2 (No. 25)
Symmetry-distinct sites (fractional):
1 Sr 0.000 0.000 0.000
2 Sr 0.000 0.000 0.213
3 Sr 0.500 0.500 0.377
4 Sr 0.500 0.500 0.591
5 Ca 0.000 0.500 0.795
6 Cr 0.000 0.000 0.477
7 Cr 0.500 0.500 0.113
8 S 0.000 0.000 0.682
9 S 0.500 0.500 0.908
10 O 0.000 0.000 0.361
11 O 0.000 0.500 0.096
12 O 0.000 0.500 0.493
13 O 0.500 0.000 0.098
14 O 0.500 0.000 0.495
15 O 0.500 0.500 0.229